Computed powder diffractogram
Compound: SmAlCu2Si
Radiation: a wavelength of 1.5418 Å
Structure: a DFT-relaxed cell (PBE, Alexandria)
Peak positions follow from Bragg's law for the DFT cell and can differ from measured ones.

Top 6 peaks for 2θ from 5° to 70°, in order of rising 2θ:
- 2θ = 23.72°, rel. 32
- 2θ = 31.63°, rel. 23
- 2θ = 33.64°, rel. 72
- 2θ = 35.90°, rel. 100
- 2θ = 48.16°, rel. 36
- 2θ = 57.57°, rel. 22

Structural model:
```
SmAlCu2Si
1.0
-1.9966 2.0040 5.3578
1.9966 -2.0040 5.3578
1.9966 2.0040 -5.3578
Sm Al Cu Si
1 1 2 1
Cartesian
0.0000 0.0000 0.0000 Sm
1.9966 0.0000 2.6704 Al
0.0000 0.0000 6.5926 Cu
0.0000 2.0040 2.8221 Cu
0.0000 0.0000 4.2478 Si
```

Computed powder diffractogram
Compound: Co4CuSe8
Radiation: a wavelength of 1.5418 Å
Structure: a DFT-relaxed cell (PBE, Alexandria)
Peak positions follow from Bragg's law for the DFT cell and can differ from measured ones.

Top 6 peaks for 2θ from 5° to 70°, in order of rising 2θ:
- 2θ = 15.41°, rel. 42
- 2θ = 29.75°, rel. 27
- 2θ = 31.10°, rel. 45
- 2θ = 36.07°, rel. 100
- 2θ = 47.43°, rel. 32
- 2θ = 51.93°, rel. 89

Structural model:
```
Co4CuSe8
1.0
0.0000 4.9805 4.9805
4.9805 0.0000 4.9805
4.9805 4.9805 0.0000
Co Cu Se
4 1 8
Cartesian
3.7656 3.7656 3.7656 Co
6.1953 6.1953 3.7656 Co
6.1953 3.7656 6.1953 Co
3.7656 6.1953 6.1953 Co
0.0000 0.0000 0.0000 Cu
1.3683 1.3683 1.3683 Se
3.6122 3.6122 1.3683 Se
3.6122 1.3683 3.6122 Se
6.1191 3.8418 3.8418 Se
1.3683 3.6122 3.6122 Se
3.8418 6.1191 3.8418 Se
3.8418 3.8418 6.1191 Se
6.1191 6.1191 6.1191 Se
```

Computed powder diffractogram
Compound: CdInPd
Radiation: a wavelength of 1.5418 Å
Structure: a DFT-relaxed cell (PBE, Alexandria)
Peak positions follow from Bragg's law for the DFT cell and can differ from measured ones.

Top 6 peaks for 2θ from 5° to 70°, in order of rising 2θ:
- 2θ = 18.51°, rel. 20
- 2θ = 26.80°, rel. 20
- 2θ = 37.52°, rel. 31
- 2θ = 38.99°, rel. 27
- 2θ = 40.27°, rel. 100
- 2θ = 55.22°, rel. 19

Structural model:
```
CdInPd
1.0
3.0282 0.0000 0.0000
0.0000 4.6197 0.0000
0.0000 0.0000 4.7947
Cd In Pd
1 1 1
Cartesian
0.0000 0.0000 0.0000 Cd
0.0000 2.3098 2.3973 In
1.5141 0.0000 2.3973 Pd
```

Computed powder diffractogram
Compound: Pm8DyEr6
Radiation: a wavelength of 1.5418 Å
Structure: a DFT-relaxed cell (PBE, Alexandria)
Peak positions follow from Bragg's law for the DFT cell and can differ from measured ones.

Top 6 peaks for 2θ from 5° to 70°, in order of rising 2θ:
- 2θ = 25.83°, rel. 25
- 2θ = 29.06°, rel. 34
- 2θ = 29.53°, rel. 23
- 2θ = 32.20°, rel. 100
- 2θ = 33.47°, rel. 55
- 2θ = 51.51°, rel. 22

Structural model:
```
Pm8DyEr6
1.0
9.3881 0.0000 0.0000
-4.6940 8.1303 0.0000
0.0000 0.0000 6.5178
Pm Dy Er
8 1 6
Cartesian
-3.1753 6.1010 2.1695 Pm
0.9981 2.3299 2.1695 Pm
2.5168 0.3006 4.3483 Pm
0.0000 5.4202 2.4679 Pm
4.6941 2.7101 4.0499 Pm
2.1772 7.8297 2.1695 Pm
3.6960 5.8004 4.3483 Pm
7.8693 2.0293 4.3483 Pm
0.0000 0.0000 0.0000 Dy
-2.1912 5.3318 5.4825 Er
1.1722 3.5668 5.4825 Er
3.6750 0.7682 1.0353 Er
1.0190 7.3621 5.4825 Er
3.5218 4.5636 1.0353 Er
6.8853 2.7986 1.0353 Er
```

Computed powder diffractogram
Compound: La7PmAl4
Radiation: a wavelength of 1.5418 Å
Structure: a DFT-relaxed cell (PBE, Alexandria)
Peak positions follow from Bragg's law for the DFT cell and can differ from measured ones.

Top 6 peaks for 2θ from 5° to 70°, in order of rising 2θ:
- 2θ = 22.49°, rel. 66
- 2θ = 26.31°, rel. 65
- 2θ = 27.98°, rel. 62
- 2θ = 29.17°, rel. 77
- 2θ = 29.42°, rel. 90
- 2θ = 30.81°, rel. 100

Structural model:
```
La7PmAl4
1.0
7.0696 -2.9020 0.0000
7.0696 2.9020 0.0000
-6.2539 0.0000 9.1030
La Pm Al
7 1 4
Cartesian
0.0000 0.0000 0.0000 La
-1.1651 0.0000 5.8075 La
3.4373 0.0000 1.0852 La
2.2527 0.0000 5.6346 La
5.6326 0.0000 3.4684 La
4.4480 0.0000 8.0178 La
9.0504 0.0000 3.2955 La
7.0696 0.0000 0.0000 Pm
-4.0327 0.0000 6.9281 Al
0.4250 0.0000 2.9986 Al
7.4603 0.0000 6.1044 Al
11.9181 0.0000 2.1749 Al
```

Computed powder diffractogram
Compound: Li2LaZn2Si2
Radiation: a wavelength of 1.5418 Å
Structure: a DFT-relaxed cell (PBE, Alexandria)
Peak positions follow from Bragg's law for the DFT cell and can differ from measured ones.

Top 6 peaks for 2θ from 5° to 70°, in order of rising 2θ:
- 2θ = 10.86°, rel. 53
- 2θ = 25.39°, rel. 77
- 2θ = 28.41°, rel. 54
- 2θ = 30.50°, rel. 79
- 2θ = 35.53°, rel. 100
- 2θ = 42.76°, rel. 82

Structural model:
```
Li2LaZn2Si2
1.0
2.1145 1.2208 8.1448
-2.1145 1.2208 8.1448
0.0000 -2.4416 8.1448
Li La Zn Si
2 1 2 2
Cartesian
0.0000 0.0000 3.4819 Li
0.0000 0.0000 20.9524 Li
0.0000 0.0000 0.0000 La
0.0000 0.0000 10.5194 Zn
0.0000 0.0000 13.9149 Zn
0.0000 0.0000 6.1552 Si
0.0000 0.0000 18.2791 Si
```

Computed powder diffractogram
Compound: NiSb2Pd7
Radiation: a wavelength of 1.5418 Å
Structure: a DFT-relaxed cell (PBE, Alexandria)
Peak positions follow from Bragg's law for the DFT cell and can differ from measured ones.

Top 6 peaks for 2θ from 5° to 70°, in order of rising 2θ:
- 2θ = 25.85°, rel. 33
- 2θ = 29.90°, rel. 40
- 2θ = 40.76°, rel. 87
- 2θ = 42.69°, rel. 100
- 2θ = 47.36°, rel. 78
- 2θ = 51.36°, rel. 41

Structural model:
```
NiSb2Pd7
1.0
3.8017 -8.1689 0.0000
3.8017 8.1689 0.0000
0.0000 0.0000 2.9887
Ni Sb Pd
1 2 7
Cartesian
0.0000 0.0000 0.0000 Ni
3.8017 2.7337 1.4943 Sb
3.8017 -2.7337 1.4943 Sb
1.4888 1.4654 1.4943 Pd
3.8017 4.8967 0.0000 Pd
1.4888 -1.4654 1.4943 Pd
3.8017 0.0000 1.4943 Pd
6.1145 1.4654 1.4943 Pd
3.8017 -4.8967 0.0000 Pd
6.1145 -1.4654 1.4943 Pd
```

Computed powder diffractogram
Compound: Ho3Si2Rh6
Radiation: a wavelength of 1.5418 Å
Structure: a DFT-relaxed cell (PBE, Alexandria)
Peak positions follow from Bragg's law for the DFT cell and can differ from measured ones.

Top 6 peaks for 2θ from 5° to 70°, in order of rising 2θ:
- 2θ = 27.24°, rel. 20
- 2θ = 30.53°, rel. 37
- 2θ = 36.30°, rel. 29
- 2θ = 38.90°, rel. 27
- 2θ = 41.37°, rel. 100
- 2θ = 58.08°, rel. 18

Structural model:
```
Ho3Si2Rh6
1.0
-4.6303 4.6303 4.6303
4.6303 -4.6303 4.6303
4.6303 4.6303 -4.6303
Ho Si Rh
6 4 12
Cartesian
2.7201 0.0000 0.0000 Ho
6.5405 0.0000 0.0000 Ho
0.0000 2.7201 0.0000 Ho
0.0000 0.0000 2.7201 Ho
0.0000 6.5405 0.0000 Ho
0.0000 0.0000 6.5405 Ho
2.3151 2.3151 -2.3151 Si
2.3151 -2.3151 2.3151 Si
-2.3151 2.3151 2.3151 Si
2.3151 2.3151 2.3151 Si
4.6303 1.7286 -1.7286 Rh
4.6303 -1.7286 1.7286 Rh
1.7286 4.6303 -1.7286 Rh
2.9016 2.9016 0.0000 Rh
2.9016 0.0000 2.9016 Rh
1.7286 -1.7286 4.6303 Rh
4.6303 1.7286 1.7286 Rh
0.0000 2.9016 2.9016 Rh
-1.7286 4.6303 1.7286 Rh
-1.7286 1.7286 4.6303 Rh
1.7286 4.6303 1.7286 Rh
1.7286 1.7286 4.6303 Rh
```

Computed powder diffractogram
Compound: Mg6IrPd2
Radiation: a wavelength of 1.5418 Å
Structure: a DFT-relaxed cell (PBE, Alexandria)
Peak positions follow from Bragg's law for the DFT cell and can differ from measured ones.

Top 6 peaks for 2θ from 5° to 70°, in order of rising 2θ:
- 2θ = 10.18°, rel. 74
- 2θ = 24.63°, rel. 100
- 2θ = 30.48°, rel. 57
- 2θ = 38.46°, rel. 84
- 2θ = 39.25°, rel. 91
- 2θ = 58.50°, rel. 28

Structural model:
```
Mg6IrPd2
1.0
4.5906 0.0000 0.0000
-2.2953 3.9756 0.0000
0.0000 0.0000 8.6888
Mg Ir Pd
6 1 2
Cartesian
0.0000 0.0000 1.7657 Mg
0.0000 0.0000 6.9230 Mg
0.0000 2.6504 0.5570 Mg
0.0000 2.6504 3.6183 Mg
2.2953 1.3252 5.0705 Mg
2.2953 1.3252 8.1317 Mg
0.0000 0.0000 4.3444 Ir
0.0000 2.6504 6.4644 Pd
2.2953 1.3252 2.2244 Pd
```

Computed powder diffractogram
Compound: Hg7Te
Radiation: a wavelength of 1.5418 Å
Structure: a DFT-relaxed cell (PBE, Alexandria)
Peak positions follow from Bragg's law for the DFT cell and can differ from measured ones.

Top 6 peaks for 2θ from 5° to 70°, in order of rising 2θ:
- 2θ = 16.08°, rel. 1
- 2θ = 32.50°, rel. 100
- 2θ = 37.70°, rel. 51
- 2θ = 54.38°, rel. 36
- 2θ = 64.80°, rel. 42
- 2θ = 68.06°, rel. 12

Structural model:
```
Hg7Te
1.0
0.0000 4.7721 4.7721
4.7721 0.0000 4.7721
4.7721 4.7721 0.0000
Hg Te
7 1
Cartesian
0.0000 0.0000 0.0000 Hg
2.3861 2.3861 0.0000 Hg
2.3861 0.0000 2.3861 Hg
4.7721 2.3861 2.3861 Hg
0.0000 2.3861 2.3861 Hg
2.3861 4.7721 2.3861 Hg
2.3861 2.3861 4.7721 Hg
4.7721 4.7721 4.7721 Te
```

Computed powder diffractogram
Compound: LaPa2Ga6
Radiation: a wavelength of 1.5418 Å
Structure: a DFT-relaxed cell (PBE, Alexandria)
Peak positions follow from Bragg's law for the DFT cell and can differ from measured ones.

Top 6 peaks for 2θ from 5° to 70°, in order of rising 2θ:
- 2θ = 22.68°, rel. 28
- 2θ = 34.01°, rel. 100
- 2θ = 39.82°, rel. 53
- 2θ = 53.35°, rel. 28
- 2θ = 66.86°, rel. 23
- 2θ = 68.59°, rel. 26

Structural model:
```
LaPa2Ga6
1.0
7.8418 0.0000 0.0000
-3.9209 6.7912 0.0000
0.0000 0.0000 3.5607
La Pa Ga
1 2 6
Cartesian
0.0000 0.0000 0.0000 La
0.0000 4.5275 0.0000 Pa
3.9209 2.2637 0.0000 Pa
-1.3254 2.2956 1.7803 Ga
-2.5955 4.4956 1.7803 Ga
2.6507 0.0000 1.7803 Ga
1.3254 2.2956 1.7803 Ga
5.1910 0.0000 1.7803 Ga
2.5955 4.4956 1.7803 Ga
```